For V3H4NO7, a DFT-relaxed cell (PBE+U, Alexandria) gives the simulated powder X-ray diffraction pattern in this record (copper Kα).
Lines closer than 0.1° are merged.

Cell and atoms:
```
data_V3H4NO7
_cell_length_a 16.562
_cell_length_b 3.804
_cell_length_c 12.704
_cell_angle_alpha 90.00
_cell_angle_beta 128.02
_cell_angle_gamma 90.00
_space_group_name_H-M_alt 'C 1 2/m 1'
_space_group_IT_number 12
loop_
_space_group_symop_operation_xyz
'x,y,z'
'-x,-y,-z'
'-x,y,-z'
'x,-y,z'
'x+1/2,y+1/2,z'
'-x+1/2,-y+1/2,-z'
'-x+1/2,y+1/2,-z'
'x+1/2,-y+1/2,z'
loop_
_atom_site_label
_atom_site_type_symbol
_atom_site_fract_x
_atom_site_fract_y
_atom_site_fract_z
_atom_site_occupancy
V1 V 0.058 0.000 0.168 1
V2 V 0.058 0.500 0.779 1
V3 V 0.208 0.000 0.052 1
H1 H 0.116 0.218 0.511 1
H2 H 0.165 0.000 0.657 1
H3 H 0.231 0.000 0.597 1
N1 N 0.158 0.000 0.571 1
O1 O 0.024 0.500 0.156 1
O2 O 0.029 0.500 0.389 1
O3 O 0.069 0.000 0.834 1
O4 O 0.102 0.000 0.073 1
O5 O 0.162 0.000 0.324 1
O6 O 0.184 0.500 0.784 1
O7 O 0.199 0.500 0.002 1
```

Most intense lines, 10° ≤ 2θ ≤ 90°, sorted by position:
two_theta  I (rel.)  index
14.20  98.0  2 0 -2
24.46  100.0  1 1 -1
27.64  70.7  1 1 -2
28.39  56.6  2 0 2
32.47  61.4  6 0 -3
47.82  57.6  0 2 0